(1)
Simulated XRD peak list of NdHo2Sn2 for copper Kα, from a structure optimized by DFT (GGA-PBE).
No peak broadening, texture or thermal motion is included.

Peak list (10 most intense, 15 to 90 degrees two-theta, low angle first)
2θ = 31.90°, d = 2.806 Å, I 100
2θ = 34.24°, d = 2.619 Å, I 90
2θ = 47.49°, d = 1.914 Å, I 33
2θ = 55.30°, d = 1.661 Å, I 17
2θ = 59.84°, d = 1.546 Å, I 34
2θ = 61.31°, d = 1.512 Å, I 17
2θ = 66.67°, d = 1.403 Å, I 10
2θ = 72.13°, d = 1.309 Å, I 11
2θ = 77.13°, d = 1.237 Å, I 13
2θ = 81.04°, d = 1.187 Å, I 15

Unit cell a=6.6752 b=6.6752 c=6.6752 alpha=46.20 beta=46.20 gamma=46.20
Element x y z (fractional)
Nd1 0.0000 0.0000 0.0000
Ho1 0.2083 0.2083 0.2083
Ho2 0.7917 0.7917 0.7917
Sn1 0.4117 0.4117 0.4117
Sn2 0.5883 0.5883 0.5883



(2)
Simulated XRD peak list of Nd9HoSn2 for copper Kα, from a structure optimized by DFT (GGA-PBE).
No peak broadening, texture or thermal motion is included.

Peak list (10 most intense, 15 to 90 degrees two-theta, low angle first)
2θ = 30.82°, d = 2.901 Å, I 100
2θ = 35.14°, d = 2.554 Å, I 17
2θ = 36.04°, d = 2.492 Å, I 33
2θ = 51.22°, d = 1.784 Å, I 23
2θ = 51.88°, d = 1.762 Å, I 12
2θ = 60.38°, d = 1.533 Å, I 14
2θ = 61.57°, d = 1.506 Å, I 28
2θ = 64.21°, d = 1.450 Å, I 12
2θ = 83.60°, d = 1.157 Å, I 11
2θ = 84.64°, d = 1.145 Å, I 6

Unit cell a=4.9846 b=4.9846 c=15.3213 alpha=90.00 beta=90.00 gamma=90.00
Element x y z (fractional)
Nd1 0.0000 0.0000 0.0000
Nd2 0.0000 0.0000 0.3389
Nd3 0.0000 0.0000 0.6611
Nd4 0.0000 0.5000 0.1751
Nd5 0.0000 0.5000 0.5000
Nd6 0.0000 0.5000 0.8249
Nd7 0.5000 0.0000 0.1751
Nd8 0.5000 0.0000 0.5000
Nd9 0.5000 0.0000 0.8249
Ho1 0.5000 0.5000 0.0000
Sn1 0.5000 0.5000 0.3377
Sn2 0.5000 0.5000 0.6623



(3)
Simulated XRD peak list of Nd2HoZn2Sn2 for copper Kα, from a structure optimized by DFT (GGA-PBE).
No peak broadening, texture or thermal motion is included.

Peak list (10 most intense, 15 to 90 degrees two-theta, low angle first)
2θ = 22.20°, d = 4.004 Å, I 20
2θ = 31.09°, d = 2.877 Å, I 100
2θ = 33.42°, d = 2.681 Å, I 44
2θ = 38.56°, d = 2.335 Å, I 81
2θ = 50.33°, d = 1.813 Å, I 26
2θ = 51.93°, d = 1.761 Å, I 13
2θ = 62.85°, d = 1.479 Å, I 27
2θ = 65.15°, d = 1.432 Å, I 24
2θ = 66.52°, d = 1.406 Å, I 12
2θ = 69.77°, d = 1.348 Å, I 15

Unit cell a=9.9263 b=9.9263 c=9.9263 alpha=27.21 beta=27.21 gamma=27.21
Element x y z (fractional)
Nd1 0.1290 0.1290 0.1290
Nd2 0.8710 0.8710 0.8710
Ho1 0.0000 0.0000 0.0000
Zn1 0.4123 0.4123 0.4123
Zn2 0.5877 0.5877 0.5877
Sn1 0.2715 0.2715 0.2715
Sn2 0.7285 0.7285 0.7285



(4)
Simulated XRD peak list of SrNdHo2 for copper Kα, from a structure optimized by DFT (GGA-PBE).
No peak broadening, texture or thermal motion is included.

Peak list (10 most intense, 15 to 90 degrees two-theta, low angle first)
2θ = 29.36°, d = 3.042 Å, I 100
2θ = 33.80°, d = 2.652 Å, I 14
2θ = 34.15°, d = 2.625 Å, I 36
2θ = 35.04°, d = 2.561 Å, I 10
2θ = 48.81°, d = 1.866 Å, I 20
2θ = 49.08°, d = 1.856 Å, I 13
2θ = 57.76°, d = 1.596 Å, I 9
2θ = 58.23°, d = 1.585 Å, I 29
2θ = 60.92°, d = 1.521 Å, I 10
2θ = 82.09°, d = 1.174 Å, I 7

Unit cell a=3.7126 b=3.7126 c=10.6085 alpha=90.00 beta=90.00 gamma=90.00
Element x y z (fractional)
Sr1 0.0000 0.0000 0.0000
Nd1 0.0000 0.0000 0.5000
Ho1 0.5000 0.5000 0.2763
Ho2 0.5000 0.5000 0.7237



(5)
Simulated XRD peak list of Tb2NdHo5 for copper Kα, from a structure optimized by DFT (GGA-PBE).
No peak broadening, texture or thermal motion is included.

Peak list (10 most intense, 15 to 90 degrees two-theta, low angle first)
2θ = 28.44°, d = 3.138 Å, I 24
2θ = 31.63°, d = 2.828 Å, I 24
2θ = 32.63°, d = 2.744 Å, I 100
2θ = 43.05°, d = 2.101 Å, I 16
2θ = 50.36°, d = 1.812 Å, I 20
2θ = 56.98°, d = 1.616 Å, I 21
2θ = 60.69°, d = 1.526 Å, I 19
2θ = 61.31°, d = 1.512 Å, I 16
2θ = 83.23°, d = 1.161 Å, I 12
2θ = 87.47°, d = 1.115 Å, I 6

Unit cell a=6.7138 b=9.1923 c=9.2023 alpha=86.10 beta=72.21 gamma=72.20
Element x y z (fractional)
Tb1 0.1251 0.1468 0.4796
Tb2 0.3745 0.6034 0.2689
Tb3 0.6255 0.3966 0.7311
Tb4 0.8749 0.8532 0.5204
Nd1 0.3720 0.7714 0.6069
Nd2 0.6280 0.2286 0.3931
Ho1 0.1240 0.4779 0.6471
Ho2 0.1243 0.6455 0.9801
Ho3 0.1250 0.9777 0.1442
Ho4 0.3732 0.2705 0.1015
Ho5 0.3769 0.1043 0.7730
Ho6 0.6231 0.8957 0.2270
Ho7 0.6268 0.7295 0.8985
Ho8 0.8750 0.0223 0.8558
Ho9 0.8757 0.3545 0.0199
Ho10 0.8760 0.5221 0.3529



(6)
Simulated XRD peak list of Tb6Nd5Ho for copper Kα, from a structure optimized by DFT (GGA-PBE).
No peak broadening, texture or thermal motion is included.

Peak list (10 most intense, 15 to 90 degrees two-theta, low angle first)
2θ = 30.33°, d = 2.947 Å, I 100
2θ = 30.46°, d = 2.935 Å, I 33
2θ = 35.20°, d = 2.549 Å, I 67
2θ = 50.55°, d = 1.806 Å, I 24
2θ = 50.72°, d = 1.800 Å, I 24
2θ = 60.15°, d = 1.538 Å, I 43
2θ = 60.32°, d = 1.534 Å, I 14
2θ = 63.09°, d = 1.473 Å, I 12
2θ = 82.30°, d = 1.172 Å, I 12
2θ = 84.96°, d = 1.142 Å, I 11

Unit cell a=6.2543 b=6.2543 c=11.9214 alpha=95.01 beta=95.01 gamma=119.99
Element x y z (fractional)
Tb1 0.0831 0.4157 0.7488
Tb2 0.2494 0.2494 0.2511
Tb3 0.4157 0.0831 0.7488
Tb4 0.5843 0.9169 0.2512
Tb5 0.7506 0.7506 0.7489
Tb6 0.9169 0.5843 0.2512
Nd1 0.1667 0.8333 0.0000
Nd2 0.3334 0.6666 0.5000
Nd3 0.5000 0.5000 0.0000
Nd4 0.6666 0.3334 0.5000
Nd5 0.8333 0.1667 0.0000
Ho1 0.0000 0.0000 0.5000